This entry pairs a crystal structure of VGaF4 with its computed PXRD pattern. Radiation: copper Kα. Structure: the PBE+U geometry in Alexandria.
Peak positions follow from Bragg's law for the DFT cell and can differ from measured ones.

Most intense lines, 2θ from 5° to 70°, low angle first:
- 2θ 26.2, intensity 100, (1 1 1)
- 2θ 28.6, intensity 29, (4 0 0)
- 2θ 29.2, intensity 60, (3 1 -1)
- 2θ 32.1, intensity 21, (2 0 -2)
- 2θ 46.1, intensity 19, (4 2 0)
- 2θ 47.4, intensity 23, (5 1 1)
- 2θ 48.5, intensity 25, (2 2 -2)
- 2θ 52.1, intensity 23, (1 1 -3)
- 2θ 52.8, intensity 21, (7 1 -1)
- 2θ 54.0, intensity 15, (2 2 2)

Cell and atoms:
```
data_VGaF4
_cell_length_a 12.9327
_cell_length_b 5.0728
_cell_length_c 5.6602
_cell_angle_alpha 90.00
_cell_angle_beta 105.31
_cell_angle_gamma 90.00
_space_group_name_H-M_alt 'C 1 2/c 1'
_space_group_IT_number 15
loop_
_space_group_symop_operation_xyz
'x,y,z'
'-x,-y,-z'
'-x,y,-z+1/2'
'x,-y,z+1/2'
'x+1/2,y+1/2,z'
'-x+1/2,-y+1/2,-z'
'-x+1/2,y+1/2,-z+1/2'
'x+1/2,-y+1/2,z+1/2'
loop_
_atom_site_label
_atom_site_fract_x
_atom_site_fract_y
_atom_site_fract_z
V1 0.2500 0.2500 0.0000
Ga1 0.0000 0.2374 0.2500
F1 0.1057 0.1043 0.9421
F2 0.2056 0.4552 0.6790
```